# Li7Mn5O12
Calculated X-ray diffraction stick pattern, Cu Kα (weighted mean of Kα1 and Kα2). Input: the GGA+U geometry in Alexandria.

The 10 most intense peaks (15° ≤ 2θ ≤ 90°), low angle first:
d/Å  Rel. int.
4.246  100
4.013  10
3.245  51
2.411  20
2.093  42
2.081  83
1.589  10
1.483  22
1.474  11
1.468  32

Structure:
```
Li7Mn5O12
1.0
2.5734 -4.4214 0.0000
2.5734 4.4214 0.0000
-1.6918 0.0000 9.5542
Li Mn O
7 5 12
Direct
0.0000 0.0000 0.0000
0.2510 0.2682 0.7644
0.3364 0.6636 0.0000
0.4021 0.0776 0.2347
0.7318 0.7490 0.2356
0.8178 0.1822 0.5000
0.9224 0.5979 0.7653
0.0827 0.4155 0.2396
0.1476 0.8524 0.5000
0.4889 0.5111 0.5000
0.5845 0.9173 0.7604
0.6588 0.3412 0.0000
0.0193 0.6716 0.1230
0.1403 0.1694 0.3787
0.2346 0.5791 0.6254
0.3284 0.9807 0.8770
0.3846 0.3720 0.1167
0.4209 0.7654 0.3746
0.4961 0.2078 0.6070
0.6280 0.6154 0.8833
0.7274 0.0842 0.1299
0.7922 0.5039 0.3930
0.8306 0.8597 0.6213
0.9158 0.2726 0.8701
```